Computed XRD peak list of KHf2TaO8 for λ = 1.5418 Å (Cu Kα), from a cell relaxed with GGA-PBE.

Structural model:
Unit cell a=4.838 b=4.838 c=7.264 alpha=90.69 beta=90.69 gamma=89.22
Element x y z (fractional)
1 K 0.000 0.000 0.000
2 Hf 0.497 0.497 0.714
3 Hf 0.503 0.503 0.286
4 Ta 0.000 0.000 0.500
5 O 0.196 0.790 0.304
6 O 0.210 0.804 0.696
7 O 0.301 0.301 0.496
8 O 0.389 0.389 0.997
9 O 0.611 0.611 0.003
10 O 0.699 0.699 0.504
11 O 0.790 0.196 0.304
12 O 0.804 0.210 0.696

Most intense lines, 2θ = 10–80°, by angle:
2θ 12.19, 7.263 Å, I = 82; 2θ 25.87, 3.444 Å, I = 100; 2θ 26.23, 3.398 Å, I = 86; 2θ 30.61, 2.921 Å, I = 80; 2θ 30.97, 2.888 Å, I = 76; 2θ 37.17, 2.419 Å, I = 51; 2θ 41.94, 2.154 Å, I = 26; 2θ 48.43, 1.879 Å, I = 31; 2θ 49.13, 1.854 Å, I = 54; 2θ 49.34, 1.847 Å, I = 26